(1)
This entry pairs a crystal structure of Fe2C with its calculated X-ray powder pattern. Radiation: Cu Ka. Structure: the GGA-PBE geometry in Alexandria.
Intensities are scaled so that the largest is 100.

Most intense lines, 2θ = 10–80°, in order of rising 2θ:
hkl  2theta  I/Imax
0 0 3  19.42  1
0 0 6  39.42  42
1 0 1  40.30  100
0 1 2  41.96  19
1 0 4  48.10  45
0 1 5  52.34  70
0 0 9  60.78  4
1 0 7  62.66  17
0 1 8  68.62  1
1 1 0  72.13  27

Structural model:
a b c (Å): 2.6190 2.6190 13.7158
angles (deg): 90.00 90.00 120.00
Space group R3m (No. 160, hexagonal axes)
Unique sites:
1 Fe 0.0000 0.0000 0.0000 x3
2 Fe 0.0000 0.0000 0.1833 x3
3 C 0.0000 0.0000 0.7608 x3

---

(2)
This entry pairs a crystal structure of FeC4 with its calculated X-ray powder pattern. Radiation: Cu Ka. Structure: the GGA-PBE geometry in Alexandria.
Intensities are scaled so that the largest is 100.

Most intense lines, 2θ = 10–80°, in order of rising 2θ:
hkl  2theta  I/Imax
0 0 1  14.82  95
0 0 2  29.89  35
1 0 0  40.36  20
0 1 1  43.22  100
1 0 2  51.02  43
0 0 4  62.09  6
0 1 3  62.43  32
1 1 0  73.38  16
1 1 1  75.36  8
1 0 4  76.70  11

Structural model:
a b c (Å): 2.5805 2.5805 5.9794
angles (deg): 90.00 90.00 120.00
Space group P-3m1 (No. 164)
Unique sites:
1 Fe 0.0000 0.0000 0.0000 x1
2 C 0.3333 0.6667 0.2077 x2
3 C 0.3333 0.6667 0.4551 x2

---

(3)
This entry pairs a crystal structure of Fe3C with its calculated X-ray powder pattern. Radiation: Cu Ka. Structure: the GGA-PBE geometry in Alexandria.
Intensities are scaled so that the largest is 100.

Most intense lines, 2θ = 10–80°, in order of rising 2θ:
hkl  2theta  I/Imax
1 0 1  30.28  1
1 1 0  38.64  19
0 0 2  41.75  24
1 1 1  44.14  100
2 0 0  44.92  1
1 0 2  47.69  1
1 1 2  58.19  16
2 1 1  64.81  1
3 0 0  69.93  16
1 1 3  77.89  16

Structural model:
a b c (Å): 4.6601 4.6601 4.3273
angles (deg): 90.00 90.00 120.00
Space group P6_322 (No. 182)
Unique sites:
1 Fe 0.0000 0.3214 0.0000 x6
2 C 0.3333 0.6667 0.2500 x2

---

(4)
This entry pairs a crystal structure of Fe2C with its calculated X-ray powder pattern. Radiation: Cu Ka. Structure: the GGA-PBE geometry in Alexandria.
Intensities are scaled so that the largest is 100.

Most intense lines, 2θ = 10–80°, in order of rising 2θ:
hkl  2theta  I/Imax
1 0 1  29.92  2
1 1 0  37.49  17
0 0 2  42.06  20
1 1 1  43.19  100
2 -1 2  57.60  17
3 0 0  67.64  18
2 -1 3  77.65  15
2 2 0  79.98  2

Structural model:
a b c (Å): 4.7983 4.7983 4.2961
angles (deg): 90.00 90.00 120.00
Space group P-31m (No. 162)
Unique sites:
1 Fe 0.0000 0.3360 0.2499 x6
2 C 0.0000 0.0000 0.0000 x1
3 C 0.3333 0.6667 0.5000 x2

---

(5)
This entry pairs a crystal structure of FeC3 with its calculated X-ray powder pattern. Radiation: Cu Ka. Structure: the GGA-PBE geometry in Alexandria.
Intensities are scaled so that the largest is 100.

Most intense lines, 2θ = 10–80°, in order of rising 2θ:
hkl  2theta  I/Imax
0 0 3  17.00  100
0 0 6  34.39  46
1 0 1  41.38  45
0 1 2  42.62  99
1 0 4  47.35  36
0 1 5  50.67  31
1 0 7  58.85  26
0 1 8  63.61  27
1 0 10  74.36  15
1 1 0  74.59  21

Structural model:
a b c (Å): 2.5447 2.5447 15.6448
angles (deg): 90.00 90.00 120.00
Space group R3m (No. 160, hexagonal axes)
Unique sites:
1 Fe 0.0000 0.0000 0.0000 x3
2 C 0.0000 0.0000 0.1322 x3
3 C 0.0000 0.0000 0.4942 x3
4 C 0.0000 0.0000 0.5921 x3

---

(6)
This entry pairs a crystal structure of Fe7C5 with its calculated X-ray powder pattern. Radiation: Cu Ka. Structure: the GGA-PBE geometry in Alexandria.
Intensities are scaled so that the largest is 100.

Most intense lines, 2θ = 10–80°, in order of rising 2θ:
hkl  2theta  I/Imax
1 0 1  21.51  40
2 0 0  26.42  39
2 1 1  34.32  84
1 1 2  39.31  27
2 0 2  43.82  9
2 2 2  51.90  100
4 0 0  54.39  44
3 1 2  55.61  12
4 2 0  61.46  17
0 0 4  72.31  12

Structural model:
a b c (Å): 6.7468 6.7468 5.2271
angles (deg): 90.00 90.00 90.00
Space group I4mm (No. 107)
Unique sites:
1 Fe 0.0000 0.0000 0.0000 x2
2 Fe 0.0000 0.2356 0.5857 x8
3 Fe 0.0000 0.5000 0.3507 x4
4 C 0.0000 0.0000 0.3585 x2
5 C 0.1992 0.1992 0.8606 x8

---

(7)
This entry pairs a crystal structure of Ga3Fe9C2 with its calculated X-ray powder pattern. Radiation: Cu Ka. Structure: the GGA-PBE geometry in Alexandria.
Intensities are scaled so that the largest is 100.

Most intense lines, 2θ = 10–80°, in order of rising 2θ:
hkl  2theta  I/Imax
2 0 1  40.36  29
0 0 6  41.69  61
2 0 2  42.20  96
2 0 3  45.12  100
2 0 4  48.97  57
2 0 5  53.62  21
2 0 7  64.90  5
2 0 8  71.41  20
2 2 0  72.13  35
2 0 9  78.51  17

Structural model:
a b c (Å): 5.2383 5.2383 12.9987
angles (deg): 90.00 90.00 120.00
Space group P6_3/mmc (No. 194)
Unique sites:
1 Ga 0.0000 0.0000 0.2500 x2
2 Ga 0.3333 0.6667 0.0870 x4
3 Fe 0.0009 0.5005 0.7500 x6
4 Fe 0.1578 0.3157 0.5781 x12
5 C 0.3333 0.6667 0.6582 x4

---

(8)
This entry pairs a crystal structure of Ho2Ga3Fe14C2 with its calculated X-ray powder pattern. Radiation: Cu Ka. Structure: the GGA-PBE geometry in Alexandria.
Intensities are scaled so that the largest is 100.

Most intense lines, 2θ = 10–80°, in order of rising 2θ:
hkl  2theta  I/Imax
3 1 0  29.77  55
2 2 -1  29.96  25
1 3 1  36.34  47
2 2 -2  37.61  26
2 2 2  41.84  88
0 0 3  42.09  55
0 4 0  42.45  100
1 3 -2  42.51  62
4 0 -2  43.38  79
5 3 -2  61.58  23

Structural model:
a b c (Å): 9.7371 8.5283 6.5159
angles (deg): 90.00 98.84 90.00
Space group C2/m (No. 12)
Unique sites:
1 Ho 0.1523 0.0000 0.3393 x4
2 Ga 0.0000 0.5000 0.5000 x2
3 Ga 0.2500 0.2500 0.0000 x4
4 Fe 0.0000 0.2014 0.0000 x4
5 Fe 0.0914 0.5000 0.9046 x4
6 Fe 0.0989 0.2493 0.6541 x8
7 Fe 0.1414 0.3558 0.2846 x8
8 Fe 0.1546 0.0000 0.8452 x4
9 C 0.2500 0.2500 0.5000 x4